Structure and simulated X-ray powder pattern of SmThCu4 (a cell relaxed with PBE; Cu Kα, 1.54184 Å).
Intensities are scaled so that the largest is 100.

Cell and atoms:
Unit cell a=3.9144 b=3.9144 c=15.5607 alpha=90.00 beta=90.00 gamma=90.00
Space group I-4m2 (No. 119)
One atom of each set of equivalent atoms:
Sm 0.0000 0.0000 0.0000
Th 0.0000 0.5000 0.2500
Cu 0.0000 0.0000 0.4206
Cu 0.0000 0.5000 0.6700

Main lines, most intense first (2θ = 10–90°):
2theta	d [Å]	Rel. int.	hkl
34.39	2.608	100	1 1 2
36.90	2.436	55	1 0 5
28.57	3.125	39	1 0 3
46.39	1.957	33	2 0 0
47.01	1.933	31	1 0 7
60.70	1.526	25	2 1 5
68.19	1.375	20	2 1 7
78.19	1.222	18	3 1 2
22.86	3.890	17	0 0 4
55.39	1.659	13	2 1 3